[1]
Starting from the PBE geometry in Alexandria, the PXRD pattern of CaGeRuO6 was computed for copper Kα.
Kinematic intensities with the Lorentz-polarization factor, no thermal factor.

Atomic structure:
Lattice parameters (Å, degrees): 4.7912 4.7912 9.6919 90.00 90.00 90.00
Space group P4_2nm (No. 102)
Symmetry-distinct sites (fractional):
Ca: 0.0000 0.0000 0.0000 [2 per cell]
Ge: 0.0000 0.0000 0.3601 [2 per cell]
Ru: 0.0000 0.0000 0.6684 [2 per cell]
O: 0.1768 0.1768 0.5165 [4 per cell]
O: 0.2375 0.2375 0.8318 [4 per cell]
O: 0.2405 0.2405 0.2038 [4 per cell]

Main lines, low angle first (2θ from 10° to 80°):
- 2θ = 20.68°, I 41
- 2θ = 26.31°, I 100
- 2θ = 33.45°, I 78
- 2θ = 37.54°, I 14
- 2θ = 51.16°, I 60
- 2θ = 54.14°, I 20
- 2θ = 61.17°, I 15
- 2θ = 65.16°, I 17



[2]
Starting from the PBE geometry in Alexandria, the PXRD pattern of CsCu2Cl4 was computed for copper Kα.
Kinematic intensities with the Lorentz-polarization factor, no thermal factor.

Atomic structure:
Lattice parameters (Å, degrees): 8.4011 8.4011 5.7892 90.00 90.00 90.00
Space group I4/m (No. 87)
Symmetry-distinct sites (fractional):
Cs: 0.0000 0.0000 0.0000 [2 per cell]
Cu: 0.0000 0.5000 0.2500 [4 per cell]
Cl: 0.1085 0.6851 0.5000 [8 per cell]

Main lines, low angle first (2θ from 10° to 80°):
- 2θ = 18.61°, I 34
- 2θ = 21.15°, I 68
- 2θ = 28.32°, I 100
- 2θ = 30.09°, I 32
- 2θ = 34.47°, I 37
- 2θ = 46.39°, I 70
- 2θ = 48.45°, I 31
- 2θ = 57.08°, I 23



[3]
Starting from the PBE geometry in Alexandria, the PXRD pattern of LaMgGaPt2 was computed for copper Kα.
Kinematic intensities with the Lorentz-polarization factor, no thermal factor.

Atomic structure:
Lattice parameters (Å, degrees): 4.1175 4.1175 12.1909 90.00 90.00 90.00
Space group I-4m2 (No. 119)
Symmetry-distinct sites (fractional):
La: 0.0000 0.0000 0.0000 [2 per cell]
Mg: 0.0000 0.5000 0.2500 [2 per cell]
Ga: 0.0000 0.5000 0.7500 [2 per cell]
Pt: 0.0000 0.0000 0.3874 [4 per cell]

Main lines, low angle first (2θ from 10° to 80°):
- 2θ = 22.80°, I 47
- 2θ = 30.71°, I 77
- 2θ = 30.92°, I 100
- 2θ = 34.13°, I 58
- 2θ = 43.12°, I 85
- 2θ = 43.98°, I 63
- 2θ = 54.73°, I 40
- 2θ = 63.29°, I 55



[4]
Starting from the PBE geometry in Alexandria, the PXRD pattern of KSb2Pb3 was computed for copper Kα.
Kinematic intensities with the Lorentz-polarization factor, no thermal factor.

Atomic structure:
Lattice parameters (Å, degrees): 4.5634 11.5750 16.0945 90.00 90.00 90.00
Space group Immm (No. 71)
Symmetry-distinct sites (fractional):
K: 0.0000 0.0000 0.1292 [4 per cell]
Sb: 0.0000 0.3252 0.5000 [4 per cell]
Sb: 0.0000 0.5000 0.1816 [4 per cell]
Pb: 0.0000 0.2012 0.3211 [8 per cell]
Pb: 0.0000 0.3529 0.0000 [4 per cell]

Main lines, low angle first (2θ from 10° to 80°):
- 2θ = 15.31°, I 36
- 2θ = 23.70°, I 31
- 2θ = 25.47°, I 30
- 2θ = 29.99°, I 73
- 2θ = 32.36°, I 100
- 2θ = 33.40°, I 42
- 2θ = 39.49°, I 34
- 2θ = 55.29°, I 36



[5]
Starting from the PBE geometry in Alexandria, the PXRD pattern of Pa4Ga12Sn was computed for copper Kα.
Kinematic intensities with the Lorentz-polarization factor, no thermal factor.

Atomic structure:
Lattice parameters (Å, degrees): 8.7778 8.7778 8.7778 90.00 90.00 90.00
Space group Im-3m (No. 229)
Symmetry-distinct sites (fractional):
Pa: 0.2500 0.2500 0.2500 [8 per cell]
Ga: 0.0000 0.0000 0.3130 [12 per cell]
Ga: 0.0000 0.2500 0.5000 [12 per cell]
Sn: 0.0000 0.0000 0.0000 [2 per cell]

Main lines, low angle first (2θ from 10° to 80°):
- 2θ = 20.23°, I 24
- 2θ = 28.77°, I 73
- 2θ = 35.42°, I 100
- 2θ = 41.13°, I 66
- 2θ = 46.25°, I 22
- 2θ = 59.58°, I 37
- 2θ = 67.48°, I 22
- 2θ = 71.26°, I 29



[6]
Starting from the PBE geometry in Alexandria, the PXRD pattern of ReMoOs was computed for copper Kα.
Kinematic intensities with the Lorentz-polarization factor, no thermal factor.

Atomic structure:
Lattice parameters (Å, degrees): 2.7645 2.7645 11.9767 90.00 90.00 90.00
Space group I4mm (No. 107)
Symmetry-distinct sites (fractional):
Re: 0.0000 0.0000 0.0000 [2 per cell]
Mo: 0.0000 0.0000 0.3211 [2 per cell]
Os: 0.0000 0.0000 0.6513 [2 per cell]

Main lines, low angle first (2θ from 10° to 80°):
- 2θ = 14.79°, I 17
- 2θ = 33.26°, I 4
- 2θ = 39.66°, I 100
- 2θ = 45.44°, I 16
- 2θ = 46.45°, I 32
- 2θ = 50.41°, I 6
- 2θ = 67.01°, I 20
- 2θ = 67.80°, I 11



[7]
Starting from the PBE geometry in Alexandria, the PXRD pattern of KAlNO2 was computed for copper Kα.
Kinematic intensities with the Lorentz-polarization factor, no thermal factor.

Atomic structure:
Lattice parameters (Å, degrees): 3.8427 3.8427 4.1166 90.00 90.00 90.00
Space group P4/mmm (No. 123)
Symmetry-distinct sites (fractional):
K: 0.0000 0.0000 0.0000 [1 per cell]
Al: 0.5000 0.5000 0.5000 [1 per cell]
N: 0.5000 0.5000 0.0000 [1 per cell]
O: 0.0000 0.5000 0.5000 [2 per cell]

Main lines, low angle first (2θ from 10° to 80°):
- 2θ = 31.86°, I 100
- 2θ = 32.96°, I 36
- 2θ = 39.75°, I 62
- 2θ = 43.99°, I 41
- 2θ = 47.31°, I 64
- 2θ = 58.17°, I 34
- 2θ = 66.58°, I 38
- 2θ = 69.14°, I 17



[8]
Starting from the PBE geometry in Alexandria, the PXRD pattern of Ca2Tb3Te6 was computed for copper Kα.
Kinematic intensities with the Lorentz-polarization factor, no thermal factor.

Atomic structure:
Lattice parameters (Å, degrees): 7.5987 13.1560 7.7804 90.00 109.07 90.00
Space group C2/m (No. 12)
Symmetry-distinct sites (fractional):
Ca: 0.0000 0.1663 0.0000 [4 per cell]
Tb: 0.0000 0.0000 0.5000 [2 per cell]
Tb: 0.0000 0.3323 0.5000 [4 per cell]
Te: 0.2454 0.5000 0.7446 [4 per cell]
Te: 0.2504 0.1651 0.7458 [8 per cell]

Main lines, low angle first (2θ from 10° to 80°):
- 2θ = 12.04°, I 23
- 2θ = 23.77°, I 13
- 2θ = 28.53°, I 100
- 2θ = 40.42°, I 39
- 2θ = 41.16°, I 37
- 2θ = 50.85°, I 20
- 2θ = 66.35°, I 18
- 2θ = 67.40°, I 17